Theoretical XRD peak list
Compound: Ba2GeO4
Radiation: λ = 1.5418 Å (Cu Kα)
Structure: a PBE-relaxed structure
No peak broadening, texture or thermal motion is included.

Structure:
abc: 9.2526 11.1597 11.1185
angles: 90.00 94.48 90.00
Space group P2_1/c (No. 14)
One atom of each set of equivalent atoms:
Ba: 0.0878 0.0716 0.2943 [4 per cell]
Ba: 0.1807 0.0789 0.9278 [4 per cell]
Ba: 0.3412 0.0846 0.5898 [4 per cell]
Ba: 0.3688 0.7088 0.5770 [4 per cell]
Ge: 0.0267 0.7028 0.9281 [4 per cell]
Ge: 0.4557 0.0773 0.2012 [4 per cell]
O: 0.0461 0.1422 0.7128 [4 per cell]
O: 0.0764 0.6429 0.4153 [4 per cell]
O: 0.1248 0.2025 0.4807 [4 per cell]
O: 0.1687 0.6140 0.9986 [4 per cell]
O: 0.2841 0.0159 0.1467 [4 per cell]
O: 0.4180 0.0402 0.8241 [4 per cell]
O: 0.4560 0.1014 0.3610 [4 per cell]
O: 0.4956 0.2114 0.1247 [4 per cell]

Most intense lines, 2θ from 5° to 70°, in order of rising 2θ:
2θ/deg, d [Å], intensity, h k l
24.12, 3.690, 1000, 2 0 -2
25.83, 3.450, 787, 1 3 0
26.80, 3.327, 550, 2 2 1
27.87, 3.201, 491, 1 1 3
28.98, 3.081, 568, 0 2 3
30.11, 2.968, 337, 1 3 -2